Structure and calculated X-ray powder pattern of PmCu3Ni2 (the PBE geometry in Alexandria; a wavelength of 1.5418 Å).
Neutral-atom scattering factors, no anomalous dispersion.

Lattice parameters (Å, degrees): 4.9853 4.9853 4.0942 90.00 90.00 120.00
Space group P6/mmm (No. 191)
One atom of each set of equivalent atoms:
Pm: 0.0000 0.0000 0.0000
Cu: 0.0000 0.5000 0.5000
Ni: 0.3333 0.6667 0.0000

Largest 10 diffraction maxima, by angle, 2θ = 15–90°:
- 2θ 30.1, rel. 48.8, hkl 1 0 1
- 2θ 36.0, rel. 28.7, hkl 1 1 0
- 2θ 41.8, rel. 36.5, hkl 2 0 0
- 2θ 42.5, rel. 100.0, hkl 1 1 1
- 2θ 44.2, rel. 28.8, hkl 0 0 2
- 2θ 58.3, rel. 13.9, hkl 1 1 2
- 2θ 62.5, rel. 21.2, hkl 2 0 2
- 2θ 69.2, rel. 22.0, hkl 3 0 1
- 2θ 76.4, rel. 15.7, hkl 2 2 0
- 2θ 80.2, rel. 14.4, hkl 1 1 3

Structure and calculated X-ray powder pattern of Pm6Cu2Ni (the PBE geometry in Alexandria; a wavelength of 1.5418 Å).
Neutral-atom scattering factors, no anomalous dispersion.

Lattice parameters (Å, degrees): 6.7613 7.2921 11.7983 90.00 120.89 90.00
Space group P2_1/c (No. 14)
One atom of each set of equivalent atoms:
Pm: 0.1003 0.0323 0.2491
Pm: 0.2256 0.6790 0.0736
Pm: 0.3703 0.1803 0.0586
Cu: 0.3211 0.1133 0.7629
Ni: 0.5000 0.0000 0.5000

Largest 10 diffraction maxima, by angle, 2θ = 15–90°:
- 2θ 28.7, rel. 100.0, hkl 1 0 2
- 2θ 29.2, rel. 70.1, hkl 2 1 -2
- 2θ 29.5, rel. 67.9, hkl 1 2 -2
- 2θ 30.2, rel. 75.9, hkl 0 2 2
- 2θ 30.4, rel. 61.6, hkl 1 0 -4
- 2θ 31.1, rel. 89.7, hkl 2 1 -3
- 2θ 32.6, rel. 63.4, hkl 1 2 1
- 2θ 32.9, rel. 52.9, hkl 1 1 -4
- 2θ 39.4, rel. 53.1, hkl 1 3 -1
- 2θ 52.0, rel. 55.6, hkl 1 4 -1

Structure and calculated X-ray powder pattern of Pm3Cu3Ni (the PBE geometry in Alexandria; a wavelength of 1.5418 Å).
Neutral-atom scattering factors, no anomalous dispersion.

Lattice parameters (Å, degrees): 3.8223 4.3182 18.2711 90.00 90.00 90.00
Space group Imm2 (No. 44)
One atom of each set of equivalent atoms:
Pm: 0.0000 0.0000 0.0000
Pm: 0.0000 0.0000 0.3623
Pm: 0.0000 0.5000 0.1877
Cu: 0.0000 0.0000 0.5475
Cu: 0.0000 0.0000 0.8209
Cu: 0.0000 0.5000 0.6205
Ni: 0.0000 0.5000 0.7512

Largest 10 diffraction maxima, by angle, 2θ = 15–90°:
- 2θ 25.3, rel. 34.1, hkl 0 1 3
- 2θ 29.3, rel. 20.3, hkl 0 0 6
- 2θ 32.8, rel. 100.0, hkl 1 1 2
- 2θ 33.9, rel. 58.1, hkl 1 0 5
- 2θ 37.1, rel. 35.5, hkl 1 1 4
- 2θ 40.4, rel. 27.2, hkl 0 1 7
- 2θ 41.8, rel. 33.7, hkl 0 2 0
- 2θ 47.6, rel. 22.0, hkl 2 0 0
- 2θ 49.6, rel. 17.1, hkl 0 1 9
- 2θ 54.9, rel. 28.9, hkl 1 2 5

Structure and calculated X-ray powder pattern of PmCu9Ni3 (the PBE geometry in Alexandria; a wavelength of 1.5418 Å).
Neutral-atom scattering factors, no anomalous dispersion.

Lattice parameters (Å, degrees): 4.8514 11.9119 6.3858 90.00 111.40 90.00
Space group C2/m (No. 12)
One atom of each set of equivalent atoms:
Pm: 0.0000 0.0000 0.0000
Cu: 0.0000 0.5000 0.5000
Cu: 0.1122 0.3869 0.2245
Cu: 0.1651 0.1776 0.3512
Ni: 0.0000 0.0000 0.5000
Ni: 0.2500 0.2500 0.0000

Largest 10 diffraction maxima, by angle, 2θ = 15–90°:
- 2θ 36.8, rel. 27.9, hkl 1 3 1
- 2θ 37.1, rel. 21.8, hkl 2 0 -1
- 2θ 37.2, rel. 24.9, hkl 1 3 -2
- 2θ 42.8, rel. 65.1, hkl 2 2 0
- 2θ 43.0, rel. 100.0, hkl 0 4 2
- 2θ 43.0, rel. 27.4, hkl 1 5 -1
- 2θ 43.3, rel. 70.9, hkl 2 2 -2
- 2θ 48.4, rel. 38.3, hkl 2 4 -1
- 2θ 78.9, rel. 16.0, hkl 4 0 -2
- 2θ 79.3, rel. 16.9, hkl 2 6 -4

Structure and calculated X-ray powder pattern of PmCu3Ni8 (the PBE geometry in Alexandria; a wavelength of 1.5418 Å).
Neutral-atom scattering factors, no anomalous dispersion.

Lattice parameters (Å, degrees): 4.7755 4.7755 7.8745 90.00 90.00 120.00
Space group P3m1 (No. 156)
One atom of each set of equivalent atoms:
Pm: 0.0000 0.0000 0.0000
Cu: 0.0000 0.0000 0.3923
Cu: 0.6667 0.3333 0.4905
Cu: 0.6667 0.3333 0.8173
Ni: 0.1650 0.3300 0.6742
Ni: 0.3333 0.6667 0.4340
Ni: 0.3333 0.6667 0.9309
Ni: 0.5031 0.0061 0.1996

Largest 10 diffraction maxima, by angle, 2θ = 15–90°:
- 2θ 31.4, rel. 23.2, hkl 0 1 2
- 2θ 37.7, rel. 44.1, hkl 1 1 0
- 2θ 40.7, rel. 83.7, hkl 1 0 3
- 2θ 44.4, rel. 100.0, hkl 1 1 2
- 2θ 45.3, rel. 89.3, hkl 2 0 1
- 2θ 49.8, rel. 16.5, hkl 0 2 2
- 2θ 70.1, rel. 29.5, hkl 2 1 3
- 2θ 72.7, rel. 21.1, hkl 0 3 2
- 2θ 75.9, rel. 23.2, hkl 0 2 5
- 2θ 80.4, rel. 25.8, hkl 2 2 0

Structure and calculated X-ray powder pattern of Pm2Cu5Ni5 (the PBE geometry in Alexandria; a wavelength of 1.5418 Å).
Neutral-atom scattering factors, no anomalous dispersion.

Lattice parameters (Å, degrees): 3.9790 5.0501 8.7169 90.00 90.00 90.00
Space group Pmmm (No. 47)
One atom of each set of equivalent atoms:
Pm: 0.0000 0.0000 0.0000
Pm: 0.0000 0.5000 0.5000
Cu: 0.0000 0.0000 0.3302
Cu: 0.0000 0.5000 0.1672
Cu: 0.5000 0.0000 0.5000
Ni: 0.5000 0.2507 0.2484
Ni: 0.5000 0.5000 0.0000

Largest 10 diffraction maxima, by angle, 2θ = 15–90°:
- 2θ 30.4, rel. 41.9, hkl 1 1 1
- 2θ 35.6, rel. 32.1, hkl 0 2 0
- 2θ 41.3, rel. 21.7, hkl 0 2 2
- 2θ 41.4, rel. 11.4, hkl 0 0 4
- 2θ 42.5, rel. 100.0, hkl 1 1 3
- 2θ 45.6, rel. 25.4, hkl 2 0 0
- 2θ 59.2, rel. 14.4, hkl 2 2 0
- 2θ 63.2, rel. 18.1, hkl 2 0 4
- 2θ 68.6, rel. 15.1, hkl 1 3 3
- 2θ 82.1, rel. 10.9, hkl 3 1 3

Structure and calculated X-ray powder pattern of PmCu10Ni2 (the PBE geometry in Alexandria; a wavelength of 1.5418 Å).
Neutral-atom scattering factors, no anomalous dispersion.

Lattice parameters (Å, degrees): 4.8444 11.9254 11.9913 90.00 90.00 90.00
Space group Fmmm (No. 69)
One atom of each set of equivalent atoms:
Pm: 0.0000 0.0000 0.0000
Cu: 0.0000 0.1134 0.3879
Cu: 0.0000 0.1794 0.1751
Cu: 0.2500 0.0000 0.2500
Ni: 0.2500 0.2500 0.0000

Largest 10 diffraction maxima, by angle, 2θ = 15–90°:
- 2θ 30.0, rel. 25.7, hkl 1 3 1
- 2θ 36.9, rel. 41.5, hkl 1 3 3
- 2θ 37.1, rel. 16.9, hkl 2 0 0
- 2θ 42.8, rel. 100.0, hkl 0 4 4
- 2θ 42.9, rel. 46.0, hkl 1 5 1
- 2θ 43.0, rel. 65.1, hkl 2 2 2
- 2θ 48.3, rel. 31.1, hkl 2 0 4
- 2θ 48.4, rel. 15.9, hkl 2 4 0
- 2θ 78.2, rel. 10.5, hkl 1 3 9
- 2θ 78.5, rel. 26.7, hkl 2 6 6

Structure and calculated X-ray powder pattern of Pm2CuNi2Pt5 (the PBE geometry in Alexandria; a wavelength of 1.5418 Å).
Neutral-atom scattering factors, no anomalous dispersion.

Lattice parameters (Å, degrees): 9.2658 9.2658 3.9658 90.00 90.00 90.00
Space group P4/mbm (No. 127)
One atom of each set of equivalent atoms:
Pm: 0.1780 0.3220 0.0000
Cu: 0.0000 0.0000 0.0000
Ni: 0.1209 0.6209 0.0000
Pt: 0.0000 0.5000 0.5000
Pt: 0.0636 0.7958 0.5000

Largest 10 diffraction maxima, by angle, 2θ = 15–90°:
- 2θ 22.4, rel. 22.1, hkl 0 0 1
- 2θ 31.2, rel. 33.5, hkl 2 1 1
- 2θ 35.5, rel. 25.5, hkl 2 2 1
- 2θ 38.2, rel. 100.0, hkl 3 1 1
- 2θ 40.1, rel. 56.4, hkl 4 1 0
- 2θ 41.3, rel. 19.6, hkl 3 3 0
- 2θ 41.9, rel. 45.8, hkl 3 2 1
- 2θ 45.3, rel. 14.6, hkl 4 0 1
- 2θ 45.8, rel. 34.5, hkl 0 0 2
- 2θ 62.5, rel. 31.0, hkl 4 1 2

Structure and calculated X-ray powder pattern of Pm2PuCu12Ni3 (the PBE geometry in Alexandria; a wavelength of 1.5418 Å).
Neutral-atom scattering factors, no anomalous dispersion.

Lattice parameters (Å, degrees): 7.9326 7.9326 19.2845 90.00 90.00 120.00
Space group R-3m (No. 166, hexagonal axes)
One atom of each set of equivalent atoms:
Pm: 0.0000 0.0000 0.0914
Pu: 0.0000 0.0000 0.5000
Cu: 0.0137 0.5068 0.3513
Cu: 0.1055 0.2110 0.2214
Ni: 0.0000 0.5000 0.0000

Largest 10 diffraction maxima, by angle, 2θ = 15–90°:
- 2θ 22.4, rel. 36.4, hkl 1 1 0
- 2θ 22.5, rel. 24.5, hkl 1 0 4
- 2θ 26.4, rel. 100.0, hkl 1 1 3
- 2θ 26.5, rel. 30.2, hkl 0 1 5
- 2θ 27.6, rel. 30.1, hkl 2 0 2
- 2θ 35.1, rel. 33.2, hkl 1 0 7
- 2θ 35.8, rel. 60.4, hkl 1 2 2
- 2θ 41.9, rel. 61.0, hkl 0 3 3
- 2θ 45.8, rel. 53.0, hkl 2 2 0
- 2θ 53.6, rel. 43.5, hkl 3 1 5

Structure and calculated X-ray powder pattern of Pm2CuSi4Ni3 (the PBE geometry in Alexandria; a wavelength of 1.5418 Å).
Neutral-atom scattering factors, no anomalous dispersion.

Lattice parameters (Å, degrees): 4.0418 4.0418 9.6162 90.00 90.00 90.00
Space group P-4m2 (No. 115)
One atom of each set of equivalent atoms:
Pm: 0.0000 0.5000 0.2477
Cu: 0.0000 0.0000 0.5000
Si: 0.0000 0.0000 0.0000
Si: 0.0000 0.5000 0.6340
Si: 0.5000 0.5000 0.0000
Ni: 0.0000 0.5000 0.8795
Ni: 0.5000 0.5000 0.5000

Largest 10 diffraction maxima, by angle, 2θ = 15–90°:
- 2θ 23.9, rel. 32.1, hkl 1 0 1
- 2θ 31.3, rel. 27.2, hkl 1 1 0
- 2θ 35.8, rel. 82.5, hkl 1 0 3
- 2θ 36.6, rel. 100.0, hkl 1 1 2
- 2θ 44.9, rel. 53.5, hkl 2 0 0
- 2θ 52.7, rel. 26.1, hkl 1 0 5
- 2θ 58.6, rel. 38.5, hkl 2 1 3
- 2θ 65.3, rel. 16.8, hkl 2 2 0
- 2θ 71.6, rel. 20.5, hkl 2 1 5
- 2θ 77.2, rel. 21.7, hkl 3 1 2

Structure and calculated X-ray powder pattern of Pm2CuNi3Sn4 (the PBE geometry in Alexandria; a wavelength of 1.5418 Å).
Neutral-atom scattering factors, no anomalous dispersion.

Lattice parameters (Å, degrees): 4.4410 4.4410 10.2671 90.00 90.00 90.00
Space group P-4m2 (No. 115)
One atom of each set of equivalent atoms:
Pm: 0.0000 0.5000 0.2410
Cu: 0.5000 0.5000 0.0000
Ni: 0.0000 0.0000 0.0000
Ni: 0.0000 0.5000 0.6256
Sn: 0.0000 0.0000 0.5000
Sn: 0.0000 0.5000 0.8689
Sn: 0.5000 0.5000 0.5000

Largest 10 diffraction maxima, by angle, 2θ = 15–90°:
- 2θ 33.0, rel. 61.5, hkl 1 0 3
- 2θ 33.5, rel. 100.0, hkl 1 1 2
- 2θ 40.6, rel. 67.6, hkl 2 0 0
- 2θ 45.6, rel. 18.9, hkl 1 1 4
- 2θ 48.9, rel. 29.3, hkl 1 0 5
- 2θ 53.3, rel. 32.8, hkl 2 1 3
- 2θ 58.8, rel. 22.7, hkl 2 2 0
- 2θ 65.4, rel. 22.6, hkl 2 1 5
- 2θ 69.4, rel. 24.8, hkl 3 1 2
- 2θ 87.9, rel. 21.8, hkl 4 0 0

Structure and calculated X-ray powder pattern of PmZn2CuNi (the PBE geometry in Alexandria; a wavelength of 1.5418 Å).
Neutral-atom scattering factors, no anomalous dispersion.

Lattice parameters (Å, degrees): 3.8006 4.0642 11.1973 90.00 90.00 90.00
Space group Imm2 (No. 44)
One atom of each set of equivalent atoms:
Pm: 0.0000 0.0000 0.0000
Zn: 0.0000 0.0000 0.3761
Zn: 0.0000 0.5000 0.2359
Cu: 0.0000 0.5000 0.7274
Ni: 0.0000 0.0000 0.5942

Largest 10 diffraction maxima, by angle, 2θ = 15–90°:
- 2θ 32.2, rel. 14.1, hkl 1 1 0
- 2θ 32.6, rel. 27.0, hkl 0 1 3
- 2θ 33.7, rel. 30.1, hkl 1 0 3
- 2θ 36.1, rel. 100.0, hkl 1 1 2
- 2θ 44.6, rel. 25.2, hkl 0 2 0
- 2θ 46.3, rel. 20.7, hkl 0 1 5
- 2θ 47.1, rel. 15.4, hkl 1 0 5
- 2θ 47.9, rel. 20.3, hkl 2 0 0
- 2θ 66.9, rel. 15.2, hkl 0 0 8
- 2θ 67.5, rel. 13.8, hkl 2 2 0

Structure and calculated X-ray powder pattern of PrCu8Ni2 (the PBE geometry in Alexandria; a wavelength of 1.5418 Å).
Neutral-atom scattering factors, no anomalous dispersion.

Lattice parameters (Å, degrees): 4.8496 4.8496 8.1759 90.00 90.00 90.00
Space group P4/mmm (No. 123)
One atom of each set of equivalent atoms:
Pr: 0.0000 0.0000 0.0000
Cu: 0.2524 0.2524 0.2918
Ni: 0.0000 0.5000 0.5000

Largest 10 diffraction maxima, by angle, 2θ = 15–90°:
- 2θ 18.3, rel. 14.7, hkl 1 0 0
- 2θ 21.3, rel. 24.0, hkl 1 0 1
- 2θ 28.2, rel. 43.1, hkl 1 1 1
- 2θ 28.6, rel. 12.4, hkl 1 0 2
- 2θ 32.9, rel. 15.9, hkl 0 0 3
- 2θ 42.4, rel. 14.1, hkl 1 1 3
- 2θ 43.4, rel. 100.0, hkl 2 0 2
- 2θ 44.3, rel. 12.5, hkl 0 0 4
- 2θ 50.4, rel. 15.9, hkl 2 0 3
- 2θ 53.4, rel. 31.6, hkl 2 2 0